1.
ZrBTe: computed XRD peak list (Cu Kα, 1.54184 Å), based on a structure optimized by DFT (PBE).

Principal peaks in the range 10 to 90 degrees two-theta, low angle first:
index  2theta  d/Å  I (rel.)
1 1 1  23.79  3.740  100
2 0 0  27.54  3.239  4
2 2 0  39.34  2.290  91
3 1 1  46.49  1.953  50
4 0 0  56.85  1.620  15
3 3 1  62.49  1.486  20
4 2 2  71.32  1.322  30
5 1 1  76.39  1.247  15
4 4 0  84.63  1.145  10
5 3 1  89.51  1.095  15

a b c (Å): 6.478 6.478 6.478
angles (deg): 90.00 90.00 90.00
Space group F-43m (No. 216)
Unique sites:
Zr1 0.000 0.000 0.000 (multiplicity 4)
B1 0.250 0.250 0.750 (multiplicity 4)
Te1 0.250 0.250 0.250 (multiplicity 4)



2.
Gd3ScS6: computed XRD peak list (Cu Kα, 1.54184 Å), based on a structure optimized by DFT (PBE).

Principal peaks in the range 10 to 90 degrees two-theta, low angle first:
index  2theta  d/Å  I (rel.)
2 4 0  25.42  3.504  78
1 2 1  26.43  3.372  41
4 1 0  26.78  3.329  41
2 1 1  27.18  3.280  43
2 3 1  31.35  2.853  49
3 3 1  34.73  2.583  100
0 5 1  36.04  2.492  52
5 1 1  41.01  2.201  57
0 0 2  47.24  1.924  60
3 8 0  48.90  1.863  39

a b c (Å): 13.603 16.353 3.847
angles (deg): 90.00 90.00 90.00
Space group Pnnm (No. 58)
Unique sites:
Gd1 0.046 0.219 0.000 (multiplicity 4)
Gd2 0.184 0.650 0.000 (multiplicity 4)
Gd3 0.248 0.898 0.500 (multiplicity 4)
Sc1 0.000 0.000 0.500 (multiplicity 2)
Sc2 0.000 0.500 0.500 (multiplicity 2)
S1 0.021 0.396 0.000 (multiplicity 4)
S2 0.091 0.922 0.000 (multiplicity 4)
S3 0.107 0.752 0.500 (multiplicity 4)
S4 0.122 0.111 0.500 (multiplicity 4)
S5 0.186 0.289 0.500 (multiplicity 4)
S6 0.187 0.522 0.500 (multiplicity 4)



3.
K2LiRhF6: computed XRD peak list (Cu Kα, 1.54184 Å), based on a structure optimized by DFT (PBE).

Principal peaks in the range 10 to 90 degrees two-theta, low angle first:
index  2theta  d/Å  I (rel.)
1 1 1  18.74  4.736  100
2 0 0  21.67  4.102  23
2 2 0  30.83  2.900  94
3 1 1  36.32  2.473  51
4 0 0  44.16  2.051  67
3 3 1  48.37  1.882  21
4 2 2  54.83  1.674  35
5 1 1  58.46  1.579  18
4 4 0  64.23  1.450  37
6 4 2  89.38  1.096  18

a b c (Å): 8.203 8.203 8.203
angles (deg): 90.00 90.00 90.00
Space group Fm-3m (No. 225)
Unique sites:
K1 0.250 0.250 0.250 (multiplicity 8)
Li1 0.000 0.000 0.000 (multiplicity 4)
Rh1 0.000 0.000 0.500 (multiplicity 4)
F1 0.000 0.000 0.254 (multiplicity 24)